No. 1
For MgFe4Hg2O8, DFT lattice parameters and positions (GGA+U) gives the simulated X-ray diffraction stick pattern in this record (Cu Kα).

Main lines, low angle first (5° ≤ 2θ ≤ 70°):
2θ 16.6, intensity 63
2θ 27.3, intensity 75
2θ 27.7, intensity 43
2θ 31.5, intensity 87
2θ 32.7, intensity 61
2θ 33.3, intensity 100
2θ 42.9, intensity 47
2θ 52.6, intensity 48

Crystal structure
a = 6.5574 Å, b = 6.5574 Å, c = 6.5574 Å
α = 123.29°, β = 121.15°, γ = 86.21°
Fractional coordinates of all 15 atoms:
Mg1 0.0000 0.0000 0.0000
Fe1 0.3442 0.6035 0.7407
Fe2 0.8035 0.0830 0.2795
Fe3 0.8035 0.5240 0.7205
Fe4 0.8628 0.6035 0.2593
Hg1 0.3008 0.3008 0.0000
Hg2 0.4478 0.9478 0.5000
O1 0.0272 0.8234 0.2038
O2 0.0890 0.3890 0.7000
O3 0.1077 0.3820 0.2743
O4 0.1077 0.8334 0.7257
O5 0.5969 0.3882 0.7913
O6 0.5969 0.8056 0.2087
O7 0.6197 0.8234 0.7962
O8 0.6889 0.3890 0.3000

No. 2
For ZrVF6, DFT lattice parameters and positions (GGA+U) gives the simulated X-ray diffraction stick pattern in this record (Cu Kα).

Main lines, low angle first (5° ≤ 2θ ≤ 70°):
2θ 18.5, intensity 11
2θ 21.4, intensity 100
2θ 30.5, intensity 25
2θ 43.6, intensity 28
2θ 49.1, intensity 38
2θ 54.1, intensity 10
2θ 63.4, intensity 15
2θ 67.7, intensity 16

Crystal structure
a = 5.8687 Å, b = 5.8687 Å, c = 5.8687 Å
α = 60.00°, β = 60.00°, γ = 60.00°
Fractional coordinates of all 8 atoms:
Zr1 0.0000 0.0000 0.0000
V1 0.5000 0.5000 0.5000
F1 0.2460 0.2460 0.7540
F2 0.2460 0.7540 0.2460
F3 0.2460 0.7540 0.7540
F4 0.7540 0.2460 0.2460
F5 0.7540 0.2460 0.7540
F6 0.7540 0.7540 0.2460

No. 3
For LiCr2P3O12, DFT lattice parameters and positions (GGA+U) gives the simulated X-ray diffraction stick pattern in this record (Cu Kα).

Main lines, low angle first (5° ≤ 2θ ≤ 70°):
2θ 14.8, intensity 20
2θ 21.0, intensity 85
2θ 24.6, intensity 100
2θ 29.8, intensity 35
2θ 33.5, intensity 25
2θ 36.7, intensity 30
2θ 48.1, intensity 18
2θ 57.4, intensity 20

Crystal structure
a = 8.4550 Å, b = 8.4550 Å, c = 8.4550 Å
α = 60.28°, β = 60.28°, γ = 60.28°
Fractional coordinates of all 36 atoms:
Li1 0.0000 0.0000 0.0000
Li2 0.5000 0.5000 0.5000
Cr1 0.1397 0.1397 0.1397
Cr2 0.3603 0.3603 0.3603
Cr3 0.6397 0.6397 0.6397
Cr4 0.8603 0.8603 0.8603
P1 0.0383 0.7500 0.4617
P2 0.2500 0.5383 0.9617
P3 0.4617 0.0383 0.7500
P4 0.5383 0.9617 0.2500
P5 0.7500 0.4617 0.0383
P6 0.9617 0.2500 0.5383
O1 0.0022 0.8075 0.6259
O2 0.0568 0.9180 0.2663
O3 0.0820 0.7337 0.9432
O4 0.1259 0.3075 0.5022
O5 0.1925 0.3741 0.9978
O6 0.2337 0.5820 0.4432
O7 0.2663 0.0568 0.9180
O8 0.3075 0.5022 0.1259
O9 0.3741 0.9978 0.1925
O10 0.4180 0.5568 0.7663
O11 0.4432 0.2337 0.5820
O12 0.4978 0.8741 0.6925
O13 0.5022 0.1259 0.3075
O14 0.5568 0.7663 0.4180
O15 0.5820 0.4432 0.2337
O16 0.6259 0.0022 0.8075
O17 0.6925 0.4978 0.8741
O18 0.7337 0.9432 0.0820
O19 0.7663 0.4180 0.5568
O20 0.8075 0.6259 0.0022
O21 0.8741 0.6925 0.4978
O22 0.9180 0.2663 0.0568
O23 0.9432 0.0820 0.7337
O24 0.9978 0.1925 0.3741